Record 1
# AcTh2Pt3
Theoretical powder diffractogram, Cu Kα X-rays. Input: DFT lattice parameters and positions (GGA-PBE).
Lines closer than 0.1° are merged.

Crystal structure
Cell lengths 8.5029, 12.0454, 25.6451 Å; angles 90.00, 90.00, 90.00 degrees
Space group Fddd (No. 70, origin choice 2)
Unique sites:
Ac (0.1250, 0.1250, 0.0417) x16
Th (0.1250, 0.1250, 0.3745) x16
Th (0.1250, 0.1250, 0.5417) x16
Pt (0.1114, 0.3750, 0.8750) x16
Pt (0.1174, 0.3678, 0.7056) x32

Largest 10 diffraction maxima, low angle first, 2θ from 10° to 80°:
| d (Å) | 2θ (°) | I (rel.) | index |
| --- | --- | --- | --- |
| 3.013 | 29.65 | 100.0 | 2 0 6 |
| 2.137 | 42.29 | 12.9 | 0 0 12 |
| 2.129 | 42.45 | 63.4 | 2 4 6 |
| 1.743 | 52.51 | 13.8 | 0 4 12 |
| 1.737 | 52.71 | 13.4 | 4 4 0 |
| 1.507 | 61.55 | 12.7 | 0 8 0 |
| 1.351 | 69.59 | 5.9 | 2 0 18 |
| 1.347 | 69.80 | 23.2 | 4 4 12 |
| 1.233 | 77.43 | 8.8 | 2 4 18 |
| 1.228 | 77.75 | 12.7 | 4 8 0 |

---

Record 2
# AcThZnPt
Theoretical powder diffractogram, Cu Kα X-rays. Input: DFT lattice parameters and positions (GGA-PBE).
Lines closer than 0.1° are merged.

Crystal structure
Cell lengths 7.4685, 7.4685, 7.4685 Å; angles 90.00, 90.00, 90.00 degrees
Space group F-43m (No. 216)
Unique sites:
Ac (0.0000, 0.0000, 0.0000) x4
Th (0.0000, 0.0000, 0.5000) x4
Zn (0.2500, 0.2500, 0.7500) x4
Pt (0.2500, 0.2500, 0.2500) x4

Largest 10 diffraction maxima, low angle first, 2θ from 10° to 80°:
| d (Å) | 2θ (°) | I (rel.) | index |
| --- | --- | --- | --- |
| 4.312 | 20.60 | 6.5 | 1 1 1 |
| 3.734 | 23.83 | 7.7 | 2 0 0 |
| 2.641 | 33.95 | 100.0 | 2 2 0 |
| 2.252 | 40.04 | 3.7 | 3 1 1 |
| 2.156 | 41.90 | 2.5 | 2 2 2 |
| 1.867 | 48.77 | 18.4 | 4 0 0 |
| 1.670 | 54.98 | 3.6 | 4 2 0 |
| 1.524 | 60.75 | 38.3 | 4 2 2 |
| 1.320 | 71.45 | 11.9 | 4 4 0 |
| 1.245 | 76.54 | 1.8 | 6 0 0 |